Entry 1:
Starting from a crystal structure in Alexandria, relaxed with GGA-PBE, the powder XRD pattern of PmMgZn was calculated for Cu Kα.
Neutral-atom scattering factors, no anomalous dispersion.

Peak list (10 most intense, 2θ from 10° to 80°, sorted by position)
| 2theta | Rel. int. |
| --- | --- |
| 10.29 | 343 |
| 20.72 | 393 |
| 33.61 | 1000 |
| 36.23 | 354 |
| 36.39 | 223 |
| 38.33 | 132 |
| 50.34 | 188 |
| 63.73 | 108 |
| 66.63 | 115 |
| 66.74 | 98 |

Structure:
```
data_PmMgZn
_space_group_name_H-M_alt 'P m m a'
_space_group_IT_number 51
_cell_length_a 4.937
_cell_length_b 3.406
_cell_length_c 8.601
_cell_angle_alpha 90.00
_cell_angle_beta 90.00
_cell_angle_gamma 90.00
loop_
_space_group_symop_operation_xyz
'x,y,z'
'-x,-y,-z'
'-x+1/2,-y,z'
'x+1/2,y,-z'
'x+1/2,-y,-z'
'-x+1/2,y,z'
'-x,y,-z'
'x,-y,z'
loop_
_atom_site_label
_atom_site_fract_x
_atom_site_fract_y
_atom_site_fract_z
_atom_site_occupancy
Pm1 0.250 0.000 0.217 1
Mg1 0.250 0.500 0.586 1
Zn1 0.250 0.500 0.912 1
```

Entry 2:
Starting from a crystal structure in Alexandria, relaxed with GGA-PBE, the powder XRD pattern of ScPaI5 was calculated for Cu Kα.
Neutral-atom scattering factors, no anomalous dispersion.

Peak list (10 most intense, 2θ from 10° to 80°, sorted by position)
| 2theta | Rel. int. |
| --- | --- |
| 10.06 | 1000 |
| 23.37 | 239 |
| 26.35 | 250 |
| 27.69 | 420 |
| 28.85 | 290 |
| 29.75 | 209 |
| 30.56 | 325 |
| 32.29 | 223 |
| 36.43 | 404 |
| 40.47 | 198 |

Structure:
```
data_ScPaI5
_space_group_name_H-M_alt 'P 1 21/m 1'
_space_group_IT_number 11
_cell_length_a 9.506
_cell_length_b 3.920
_cell_length_c 16.155
_cell_angle_alpha 90.00
_cell_angle_beta 100.57
_cell_angle_gamma 90.00
loop_
_space_group_symop_operation_xyz
'x,y,z'
'-x,-y,-z'
'-x,y+1/2,-z'
'x,-y+1/2,z'
loop_
_atom_site_label
_atom_site_fract_x
_atom_site_fract_y
_atom_site_fract_z
_atom_site_occupancy
Sc1 0.066 0.250 0.196 1
Pa1 0.393 0.750 0.355 1
I1 0.049 0.750 0.331 1
I2 0.132 0.250 0.899 1
I3 0.277 0.750 0.156 1
I4 0.315 0.250 0.496 1
I5 0.399 0.750 0.712 1
```